Simulated X-ray powder pattern of Pm8Dy3Sc2 for CuKα, from a DFT-relaxed cell (PBE, Alexandria).

Structural model:
Cell lengths 7.7548, 5.6806, 10.5941 Å; angles 90.00, 111.43, 90.00 degrees
Fractional coordinates of all 13 atoms:
Pm: 0.0947 0.0000 0.2788
Pm: 0.1784 0.5000 0.8570
Pm: 0.3164 0.0000 0.7215
Pm: 0.3669 0.5000 0.2338
Pm: 0.6331 0.5000 0.7662
Pm: 0.6836 0.0000 0.2785
Pm: 0.8216 0.5000 0.1430
Pm: 0.9053 0.0000 0.7212
Dy: 0.2124 0.5000 0.5000
Dy: 0.5000 0.0000 0.5000
Dy: 0.7876 0.5000 0.5000
Sc: 0.2602 0.0000 0.0204
Sc: 0.7398 0.0000 0.9796

The 10 most intense peaks (10 to 80 degrees two-theta), by intensity:
d 2.686, 33.36°, rel. 1000, hkl 2 1 1; d 2.842, 31.48°, rel. 745, hkl 0 2 0; d 2.990, 29.89°, rel. 462, hkl 1 1 -3; d 1.608, 57.28°, rel. 212, hkl 2 3 1; d 3.046, 29.32°, rel. 177, hkl 2 1 0; d 1.671, 54.96°, rel. 168, hkl 3 0 -6; d 1.903, 47.79°, rel. 167, hkl 3 2 -2; d 3.608, 24.67°, rel. 160, hkl 2 0 -2; d 2.563, 35.01°, rel. 146, hkl 3 0 -2; d 1.440, 64.71°, rel. 142, hkl 3 2 -6